La6Nd5Er2: calculated powder diffraction line list (a wavelength of 1.5418 Å), based on a DFT-relaxed cell (GGA-PBE, Alexandria).
Intensities are scaled so that the largest is 100.

Atomic structure:
```
La6Nd5Er2
1.0
11.290 0.000 0.000
0.000 23.093 0.000
0.000 0.000 3.606
La Nd Er
12 10 4
Direct
0.031 0.111 0.000
0.134 0.383 0.000
0.165 0.636 0.500
0.335 0.136 0.500
0.366 0.883 0.000
0.469 0.611 0.000
0.531 0.389 0.000
0.634 0.117 0.000
0.665 0.864 0.500
0.835 0.364 0.500
0.866 0.617 0.000
0.969 0.889 0.000
0.000 0.500 0.500
0.086 0.247 0.500
0.167 0.992 0.500
0.333 0.492 0.500
0.414 0.747 0.500
0.500 0.000 0.500
0.586 0.253 0.500
0.667 0.508 0.500
0.833 0.008 0.500
0.914 0.753 0.500
0.165 0.773 0.000
0.335 0.273 0.000
0.665 0.727 0.000
0.835 0.227 0.000
```

Largest 10 diffraction maxima, in order of falling intensity, 2θ from 10° to 90°:
- (2 3 1), 31.66°, rel. 100
- (3 5 0), 30.64°, rel. 70
- (0 8 0), 30.98°, rel. 57
- (2 5 1), 35.36°, rel. 45
- (3 3 0), 26.36°, rel. 44
- (0 8 2), 60.51°, rel. 35
- (4 1 0), 31.95°, rel. 33
- (2 4 1), 33.32°, rel. 30
- (0 4 1), 29.20°, rel. 29
- (1 2 1), 27.08°, rel. 28